(1)
For Tb2Y3Er2, the GGA-PBE geometry in Alexandria gives the simulated powder diffraction line list in this record (Cu Kα (λ = 1.5418 Å)).

Cell lengths 3.5318, 5.4664, 23.1956 Å; angles 90.00, 90.00, 90.00 degrees
Space group Immm (No. 71)
Unique sites:
Tb1 0.0000 0.0000 0.0800 [4 per cell]
Y1 0.0000 0.0000 0.5000 [2 per cell]
Y2 0.0000 0.5000 0.2758 [4 per cell]
Er1 0.0000 0.0000 0.3579 [4 per cell]

Principal peaks in the range 2θ from 10° to 90°, by intensity:
31.57°, I 100; 33.94°, I 51; 32.77°, I 49; 30.13°, I 45; 31.12°, I 35; 50.40°, I 35; 61.91°, I 29; 37.21°, I 25; 31.84°, I 20; 57.74°, I 18; 27.77°, I 17; 61.43°, I 15

=====

(2)
For Sc4TlPbO, the GGA-PBE geometry in Alexandria gives the simulated powder diffraction line list in this record (Cu Kα (λ = 1.5418 Å)).

Cell lengths 6.1822, 15.3474, 6.1836 Å; angles 90.00, 90.00, 90.00 degrees
Space group Cmcm (No. 63)
Unique sites:
Sc1 0.0000 0.0891 0.2500 [4 per cell]
Sc2 0.0000 0.4067 0.2500 [4 per cell]
Sc3 0.2500 0.2500 0.0000 [8 per cell]
Tl1 0.0000 0.1065 0.7500 [4 per cell]
Pb1 0.0000 0.3961 0.7500 [4 per cell]
O1 0.0000 0.2491 0.2500 [4 per cell]

Principal peaks in the range 2θ from 10° to 90°, by intensity:
37.36°, I 100; 26.82°, I 88; 28.88°, I 74; 41.30°, I 57; 21.13°, I 56; 49.94°, I 34; 23.18°, I 33; 31.19°, I 30; 55.28°, I 28; 72.70°, I 28; 35.08°, I 27; 46.33°, I 24

=====

(3)
For CsAcPb, the GGA-PBE geometry in Alexandria gives the simulated powder diffraction line list in this record (Cu Kα (λ = 1.5418 Å)).

Cell lengths 5.4414, 5.4414, 6.8560 Å; angles 90.00, 90.00, 120.00 degrees
Space group P3m1 (No. 156)
Unique sites:
Cs1 0.0000 0.0000 0.0000 [1 per cell]
Ac1 0.6667 0.3333 0.4914 [1 per cell]
Pb1 0.3333 0.6667 0.6373 [1 per cell]

Principal peaks in the range 2θ from 10° to 90°, by intensity:
22.90°, I 100; 32.92°, I 49; 12.91°, I 33; 32.29°, I 32; 40.48°, I 23; 44.04°, I 22; 42.42°, I 21; 53.13°, I 21; 35.50°, I 19; 66.56°, I 13; 25.99°, I 13; 58.39°, I 12